Entry 1:
Starting from a cell relaxed with PBE, the powder X-ray diffraction pattern of CuSb2P was simulated for a wavelength of 1.5418 Å.

Peak list (10 most intense, 2θ = 10–80°, in order of rising 2θ)
27.66 deg, I 25; 28.28 deg, I 24; 32.27 deg, I 100; 32.70 deg, I 48; 45.47 deg, I 19; 46.60 deg, I 70; 47.09 deg, I 17; 57.13 deg, I 19; 58.50 deg, I 17; 77.07 deg, I 15

Structure:
```
CuSb2P
1.0
3.860 0.000 0.000
0.000 3.989 0.000
0.000 0.000 5.478
Cu Sb P
1 2 1
Direct
0.000 0.000 0.000 Cu
0.000 0.000 0.500 Sb
0.500 0.500 0.000 Sb
0.500 0.500 0.500 P
```

Entry 2:
Starting from a cell relaxed with PBE, the powder X-ray diffraction pattern of LiTm2Ga2 was simulated for a wavelength of 1.5418 Å.

Peak list (10 most intense, 2θ = 10–80°, in order of rising 2θ)
25.43 deg, I 65; 28.21 deg, I 88; 29.78 deg, I 64; 30.31 deg, I 100; 32.99 deg, I 46; 36.48 deg, I 87; 41.49 deg, I 41; 41.89 deg, I 64; 43.01 deg, I 50; 52.24 deg, I 39

Structure:
```
LiTm2Ga2
1.0
-3.163 6.000 2.949
3.163 -6.000 2.949
3.163 6.000 -2.949
Li Tm Ga
2 4 4
Direct
0.250 0.250 0.000 Li
0.750 0.750 0.000 Li
0.154 0.698 0.853 Tm
0.346 0.198 0.544 Tm
0.654 0.802 0.456 Tm
0.846 0.302 0.147 Tm
0.105 0.237 0.341 Ga
0.395 0.737 0.132 Ga
0.605 0.263 0.868 Ga
0.895 0.763 0.659 Ga
```